Diffraction record for RbBe2P3O10. The powder diffractogram is theoretical, not measured: it uses DFT lattice parameters and positions (PBE) and a wavelength of 1.5418 Å.

Top 10 peaks for 2θ from 5° to 70°, by angle:
Position (°2θ)	intensity
20.2	29
20.6	27
22.1	100
23.9	72
25.1	62
29.9	18
30.1	43
31.1	30
32.7	49
44.1	28

Atomic structure:
```
RbBe2P3O10
1.0
6.1651 -4.4001 0.0000
6.1651 4.4001 0.0000
-4.1352 0.0000 8.0369
Rb Be P O
2 4 6 20
Direct
0.1992 0.8008 0.7500
0.8008 0.1992 0.2500
0.2003 0.2884 0.0634
0.2884 0.2003 0.5634
0.7116 0.7997 0.4366
0.7997 0.7116 0.9366
0.0021 0.6319 0.2528
0.3681 0.9979 0.2472
0.3812 0.6188 0.2500
0.6188 0.3812 0.7500
0.6319 0.0021 0.7528
0.9979 0.3681 0.7472
0.0366 0.4136 0.1644
0.0810 0.3098 0.6025
0.1033 0.2401 0.8641
0.2221 0.6807 0.3478
0.2401 0.1033 0.3641
0.3098 0.0810 0.1025
0.3193 0.7779 0.1522
0.3672 0.4215 0.1245
0.4136 0.0366 0.6644
0.4215 0.3672 0.6245
0.5785 0.6328 0.3755
0.5864 0.9634 0.3356
0.6328 0.5785 0.8755
0.6807 0.2221 0.8478
0.6902 0.9190 0.8975
0.7599 0.8967 0.6359
0.7779 0.3193 0.6522
0.8967 0.7599 0.1359
0.9190 0.6902 0.3975
0.9634 0.5864 0.8356
```


Diffraction record for PmHg3. The powder diffractogram is theoretical, not measured: it uses DFT lattice parameters and positions (PBE) and a wavelength of 1.5418 Å.

Top 6 peaks for 2θ from 5° to 70°, by angle:
Position (°2θ)	intensity
20.9	1
24.2	1
34.5	100
40.7	1
49.6	18
61.8	38

Atomic structure:
```
PmHg3
1.0
0.0000 3.6761 3.6761
3.6761 0.0000 3.6761
3.6761 3.6761 0.0000
Pm Hg
1 3
Direct
0.0000 0.0000 0.0000
0.2500 0.2500 0.2500
0.5000 0.5000 0.5000
0.7500 0.7500 0.7500
```


Diffraction record for LiU3O8. The powder diffractogram is theoretical, not measured: it uses DFT lattice parameters and positions (PBE) and a wavelength of 1.5418 Å.

Top 10 peaks for 2θ from 5° to 70°, by angle:
Position (°2θ)	intensity
21.0	59
25.8	100
33.5	75
42.8	13
45.5	21
45.6	10
50.6	53
50.7	9
57.8	10
64.2	18

Atomic structure:
```
LiU3O8
1.0
4.2279 0.0000 0.0000
0.0000 5.9671 3.4567
0.0000 -5.9671 3.4567
Li U O
1 3 8
Direct
0.0000 0.0000 0.0000
0.5000 0.2704 0.9046
0.5000 0.5989 0.5989
0.5000 0.9046 0.2704
0.0000 0.2414 0.9110
0.0000 0.6313 0.6313
0.0000 0.9110 0.2414
0.5000 0.0306 0.0306
0.5000 0.2515 0.5212
0.5000 0.5212 0.2515
0.5000 0.5988 0.9210
0.5000 0.9210 0.5988
```


Diffraction record for Na2Nb3S6. The powder diffractogram is theoretical, not measured: it uses DFT lattice parameters and positions (PBE) and a wavelength of 1.5418 Å.

Top 10 peaks for 2θ from 5° to 70°, by angle:
Position (°2θ)	intensity
12.2	100
31.0	47
35.7	32
39.4	47
43.8	18
48.7	13
50.1	7
54.0	31
55.6	11
68.9	8

Atomic structure:
```
Na2Nb3S6
1.0
2.9416 1.6983 14.5543
-2.9416 1.6983 14.5543
0.0000 -3.3967 14.5543
Na Nb S
4 6 12
Direct
0.0832 0.0832 0.0832
0.4165 0.4165 0.4165
0.5835 0.5835 0.5835
0.9168 0.9168 0.9168
0.0000 0.3335 0.6665
0.1668 0.1668 0.1668
0.3335 0.6665 0.0000
0.5000 0.5000 0.5000
0.6665 0.0000 0.3335
0.8332 0.8332 0.8332
0.0349 0.7020 0.3698
0.1299 0.7979 0.4655
0.2021 0.8701 0.5345
0.2980 0.9651 0.6302
0.3698 0.0349 0.7020
0.4655 0.1299 0.7979
0.5345 0.2021 0.8701
0.6302 0.2980 0.9651
0.7020 0.3698 0.0349
0.7979 0.4655 0.1299
0.8701 0.5345 0.2021
0.9651 0.6302 0.2980
```


Diffraction record for K3B3O10. The powder diffractogram is theoretical, not measured: it uses DFT lattice parameters and positions (PBE) and a wavelength of 1.5418 Å.

Top 10 peaks for 2θ from 5° to 70°, by angle:
Position (°2θ)	intensity
16.6	38
22.7	49
29.3	100
31.1	32
31.3	34
38.9	24
40.0	38
45.1	46
46.2	19
46.4	37

Atomic structure:
```
K3B3O10
1.0
7.3201 -3.6346 0.0000
7.3201 3.6346 0.0000
0.0000 0.0000 9.2707
K B O
6 6 20
Direct
0.0095 0.9905 0.5000
0.2795 0.2968 0.4950
0.2968 0.2795 0.9950
0.7032 0.7205 0.4950
0.7205 0.7032 0.9950
0.9905 0.0095 0.0000
0.1742 0.6493 0.2424
0.3507 0.8258 0.2424
0.4399 0.5601 0.7555
0.5601 0.4399 0.2555
0.6493 0.1742 0.7424
0.8258 0.3507 0.7424
0.0378 0.6577 0.3518
0.0538 0.6549 0.1216
0.0716 0.2214 0.2324
0.1772 0.8228 0.2473
0.2214 0.0716 0.7323
0.2523 0.7477 0.7712
0.3423 0.9622 0.3518
0.3451 0.9462 0.1216
0.3827 0.4508 0.2484
0.4508 0.3827 0.7484
0.5492 0.6173 0.2484
0.6173 0.5492 0.7484
0.6549 0.0538 0.6216
0.6577 0.0378 0.8518
0.7477 0.2523 0.2712
0.7786 0.9284 0.2324
0.8228 0.1772 0.7473
0.9284 0.7786 0.7323
0.9462 0.3451 0.6216
0.9622 0.3423 0.8518
```